No. 1
This entry pairs a crystal structure of FeCu2I6 with its simulated powder diffractogram. Radiation: Cu Kα (λ = 1.5418 Å). Structure: a structure optimized by DFT (PBE).
No peak broadening, texture or thermal motion is included.

Structure:
```
FeCu2I6
1.0
7.7760 -7.5096 0.0000
7.7760 7.5096 0.0000
-3.3037 0.0000 6.3721
Fe Cu I
2 4 12
Cartesian
5.2983 3.7635 4.7791
6.9501 -3.7635 1.5930
2.0161 1.0948 3.6260
3.6680 -1.0948 0.4400
8.5804 1.0948 5.9322
10.2323 -1.0948 2.7461
4.8064 5.1968 2.7289
3.1846 1.2448 1.3684
3.3391 2.3275 5.5552
9.0938 5.1968 0.4572
1.5327 -1.2448 4.5544
7.2574 2.3275 4.0030
4.9910 -2.3275 2.3691
10.7156 1.2448 1.8177
3.1546 -5.1968 5.9150
8.9093 -2.3275 0.8169
9.0638 -1.2448 5.0038
7.4419 -5.1968 3.6432
```

Top 10 peaks for 2θ = 5–70°, by angle:
2θ/deg, I/Imax
13.67, 16
17.45, 38
23.70, 19
24.81, 23
25.88, 100
26.34, 16
27.58, 29
34.57, 16
44.34, 27
44.72, 20

No. 2
This entry pairs a crystal structure of KNbInFeCu with its simulated powder diffractogram. Radiation: Cu Kα (λ = 1.5418 Å). Structure: a structure optimized by DFT (PBE).
No peak broadening, texture or thermal motion is included.

Structure:
```
KNbInFeCu
1.0
16.6154 0.0000 0.0000
0.0000 4.3672 0.0000
-0.5794 0.0000 3.1772
K Nb In Fe Cu
2 2 2 2 2
Cartesian
0.0000 0.0000 0.0000
8.3077 2.1836 0.0000
4.6572 0.0000 2.4867
12.9649 2.1836 2.4867
2.3667 2.1836 2.0729
10.6743 0.0000 2.0729
3.3220 0.0000 0.6053
11.6296 2.1836 0.6053
4.9261 2.1836 0.8989
13.2338 0.0000 0.8989
```

Top 10 peaks for 2θ = 5–70°, by angle:
2θ/deg, I/Imax
10.83, 100
26.15, 16
32.88, 14
36.17, 18
36.44, 19
40.95, 21
41.40, 36
42.87, 7
53.80, 6
57.04, 6

No. 3
This entry pairs a crystal structure of InFeCu2S4 with its simulated powder diffractogram. Radiation: Cu Kα (λ = 1.5418 Å). Structure: a structure optimized by DFT (PBE).
No peak broadening, texture or thermal motion is included.

Structure:
```
InFeCu2S4
1.0
5.4607 0.0000 0.0000
0.0000 5.4607 0.0000
0.0000 0.0000 10.7150
In Fe Cu S
2 2 4 8
Cartesian
0.0000 0.0000 0.0000
2.7303 2.7303 5.3575
0.0000 0.0000 5.3575
2.7303 2.7303 0.0000
0.0000 2.7303 2.6788
0.0000 2.7303 8.0363
2.7303 0.0000 2.6788
2.7303 0.0000 8.0363
1.2643 1.2643 6.7757
1.2643 4.1964 3.9393
1.4661 1.4661 1.4182
1.4661 3.9946 9.2968
3.9946 1.4661 9.2968
3.9946 3.9946 1.4182
4.1964 1.2643 3.9393
4.1964 4.1964 6.7757
```

Top 10 peaks for 2θ = 5–70°, by angle:
2θ/deg, I/Imax
18.23, 5
28.49, 100
32.80, 10
33.45, 5
37.78, 4
47.07, 20
47.55, 38
55.95, 27
56.80, 13
68.76, 6

No. 4
This entry pairs a crystal structure of Fe2CuIr with its simulated powder diffractogram. Radiation: Cu Kα (λ = 1.5418 Å). Structure: a structure optimized by DFT (PBE).
No peak broadening, texture or thermal motion is included.

Structure:
```
Fe2CuIr
1.0
2.6777 0.0000 0.0000
0.0000 3.5810 0.0000
0.0000 0.0000 5.2931
Fe Cu Ir
2 1 1
Cartesian
0.0000 0.0000 0.0000
1.3389 1.7905 1.3452
1.3389 1.7905 4.0241
0.0000 0.0000 2.6080
```

Top 10 peaks for 2θ = 5–70°, by angle:
2θ/deg, I/Imax
16.75, 55
24.86, 20
30.13, 31
37.65, 18
42.14, 100
42.47, 97
45.64, 19
48.35, 66
51.01, 28
55.12, 10

Repeat the fourth record exactly.
This entry pairs a crystal structure of Fe2CuIr with its simulated powder diffractogram. Radiation: Cu Kα (λ = 1.5418 Å). Structure: a structure optimized by DFT (PBE).
No peak broadening, texture or thermal motion is included.

Structure:
```
Fe2CuIr
1.0
2.6777 0.0000 0.0000
0.0000 3.5810 0.0000
0.0000 0.0000 5.2931
Fe Cu Ir
2 1 1
Cartesian
0.0000 0.0000 0.0000
1.3389 1.7905 1.3452
1.3389 1.7905 4.0241
0.0000 0.0000 2.6080
```

Top 10 peaks for 2θ = 5–70°, by angle:
2θ/deg, I/Imax
16.75, 55
24.86, 20
30.13, 31
37.65, 18
42.14, 100
42.47, 97
45.64, 19
48.35, 66
51.01, 28
55.12, 10